For Li2Cr2O7, DFT lattice parameters and positions (PBE+U) gives the simulated XRD peak list in this record (Cu Kα (weighted mean of Kα1 and Kα2)).
No peak broadening, texture or thermal motion is included.

Largest 10 diffraction maxima, in order of rising 2θ, 15° ≤ 2θ ≤ 90°:
| hkl | Position (°2θ) | I_rel |
| --- | --- | --- |
| 1 1 -1 | 19.23 | 20.3 |
| -1 1 1 | 19.56 | 100.0 |
| 1 1 1 | 21.14 | 31.3 |
| 1 1 -2 | 22.00 | 49.5 |
| 1 1 2 | 25.28 | 43.4 |
| 0 0 4 | 28.56 | 42.8 |
| 1 -1 3 | 28.72 | 41.9 |
| 1 2 -1 | 29.14 | 22.8 |
| 0 2 2 | 30.13 | 16.9 |
| -1 2 2 | 32.22 | 33.7 |

Cell and atoms:
```
data_Li2Cr2O7
_space_group_name_H-M_alt 'P -1'
_space_group_IT_number 2
_cell_length_a 6.476
_cell_length_b 7.086
_cell_length_c 12.633
_cell_angle_alpha 94.81
_cell_angle_beta 96.59
_cell_angle_gamma 90.92
loop_
_space_group_symop_operation_xyz
'x,y,z'
'-x,-y,-z'
loop_
_atom_site_label
_atom_site_fract_x
_atom_site_fract_y
_atom_site_fract_z
_atom_site_occupancy
Li1 0.068 0.361 0.347 1
Li2 0.301 0.751 0.150 1
Li3 0.347 0.351 0.609 1
Li4 0.355 0.894 0.893 1
Cr1 0.149 0.819 0.405 1
Cr2 0.173 0.191 0.090 1
Cr3 0.223 0.422 0.883 1
Cr4 0.435 0.798 0.621 1
O1 0.031 0.880 0.858 1
O2 0.036 0.319 0.561 1
O3 0.049 0.461 0.784 1
O4 0.050 0.987 0.339 1
O5 0.084 0.289 0.968 1
O6 0.277 0.631 0.652 1
O7 0.294 0.929 0.524 1
O8 0.301 0.354 0.169 1
O9 0.314 0.694 0.338 1
O10 0.320 0.622 0.944 1
O11 0.328 0.010 0.065 1
O12 0.364 0.302 0.428 1
O13 0.406 0.293 0.836 1
O14 0.499 0.052 0.276 1
```



For Li2Cr2O7, DFT lattice parameters and positions (PBE+U) gives the simulated XRD peak list in this record (Cu Kα (weighted mean of Kα1 and Kα2)).
No peak broadening, texture or thermal motion is included.

Largest 10 diffraction maxima, in order of rising 2θ, 15° ≤ 2θ ≤ 90°:
| hkl | Position (°2θ) | I_rel |
| --- | --- | --- |
| 1 0 -1 | 18.46 | 35.4 |
| 0 0 2 | 19.69 | 87.1 |
| 1 2 1 | 21.19 | 100.0 |
| 2 0 0 | 25.81 | 49.7 |
| 1 2 -1 | 26.91 | 34.0 |
| 2 0 2 | 27.22 | 63.5 |
| 2 2 2 | 28.40 | 31.2 |
| 1 1 -2 | 28.63 | 40.6 |
| 1 -2 1 | 29.32 | 65.0 |
| -1 2 1 | 30.11 | 46.0 |

Cell and atoms:
```
data_Li2Cr2O7
_space_group_name_H-M_alt 'P -1'
_space_group_IT_number 2
_cell_length_a 7.667
_cell_length_b 8.766
_cell_length_c 9.753
_cell_angle_alpha 76.58
_cell_angle_beta 68.85
_cell_angle_gamma 71.31
loop_
_space_group_symop_operation_xyz
'x,y,z'
'-x,-y,-z'
loop_
_atom_site_label
_atom_site_fract_x
_atom_site_fract_y
_atom_site_fract_z
_atom_site_occupancy
Li1 0.014 0.092 0.223 1
Li2 0.041 0.266 0.859 1
Li3 0.469 0.791 0.320 1
Li4 0.483 0.398 0.284 1
Cr1 0.174 0.588 0.587 1
Cr2 0.210 0.146 0.488 1
Cr3 0.294 0.380 0.036 1
Cr4 0.319 0.912 0.937 1
O1 0.073 0.327 0.405 1
O2 0.087 0.108 0.663 1
O3 0.117 0.303 0.057 1
O4 0.133 0.864 0.930 1
O5 0.198 0.405 0.676 1
O6 0.212 0.550 0.107 1
O7 0.240 0.699 0.664 1
O8 0.246 0.996 0.400 1
O9 0.279 0.934 0.108 1
O10 0.315 0.585 0.414 1
O11 0.333 0.087 0.833 1
O12 0.411 0.412 0.860 1
O13 0.414 0.181 0.470 1
O14 0.466 0.245 0.128 1
```